Diffraction record for CaW4O9. The XRD peak list is simulated, not measured: it uses a cell relaxed with PBE+U and copper Kα.

Most intense lines, 10 to 80 degrees two-theta, low angle first:
| 2θ (°) | intensity |
| --- | --- |
| 22.44 | 681 |
| 25.91 | 295 |
| 29.00 | 1000 |
| 36.97 | 572 |
| 41.46 | 388 |
| 45.81 | 175 |
| 47.65 | 414 |
| 55.13 | 297 |
| 60.09 | 176 |
| 63.48 | 213 |

Structural model:
a = 9.740 Å, b = 9.740 Å, c = 3.962 Å
α = 90.00°, β = 90.00°, γ = 90.00°
Fractional coordinates of all 28 atoms:
Ca: 0.250 0.250 0.001
Ca: 0.750 0.750 0.999
W: 0.038 0.840 0.499
W: 0.160 0.538 0.501
W: 0.340 0.962 0.501
W: 0.462 0.660 0.499
W: 0.538 0.340 0.501
W: 0.660 0.038 0.499
W: 0.840 0.462 0.499
W: 0.962 0.160 0.501
O: 0.005 0.177 0.001
O: 0.026 0.366 0.500
O: 0.134 0.026 0.500
O: 0.177 0.495 0.001
O: 0.250 0.750 0.500
O: 0.323 0.005 0.001
O: 0.366 0.474 0.500
O: 0.474 0.134 0.500
O: 0.495 0.323 0.001
O: 0.505 0.677 0.999
O: 0.526 0.866 0.500
O: 0.634 0.526 0.500
O: 0.677 0.995 0.999
O: 0.750 0.250 0.500
O: 0.823 0.505 0.999
O: 0.866 0.974 0.500
O: 0.974 0.634 0.500
O: 0.995 0.823 0.999